Computed X-ray diffraction stick pattern of GaCuSeS for Cu Kα X-rays, from a DFT-relaxed cell (PBE, the Materials Project).

Main lines, sorted by position (2θ = 10–80°):
two_theta, I (rel.)
22.97, 5
28.31, 100
36.76, 6
40.57, 3
46.94, 24
47.13, 45
55.73, 28
56.06, 13
68.51, 4
68.62, 4
75.77, 5
76.05, 10

Lattice parameters (Å, degrees): 5.471 5.478 10.868 90.00 90.00 90.00
Space group I2_12_12_1 (No. 24)
Unique sites:
Ga: 0.000 0.250 0.120 (multiplicity 4)
Cu: 0.000 0.250 0.614 (multiplicity 4)
Se: 0.242 0.500 0.750 (multiplicity 4)
S: 0.250 0.001 0.000 (multiplicity 4)

=====

Computed X-ray diffraction stick pattern of GaCuSe2 for Cu Kα X-rays, from a DFT-relaxed cell (PBE, the Materials Project).

Main lines, sorted by position (2θ = 10–80°):
two_theta, I (rel.)
29.11, 1
33.58, 100
34.05, 48
48.22, 35
48.57, 69
60.34, 35
70.58, 11
71.69, 5

Lattice parameters (Å, degrees): 3.774 3.774 5.266 90.00 90.00 90.00
Space group P4/mmm (No. 123)
Unique sites:
Ga: 0.000 0.000 0.000 (multiplicity 1)
Cu: 0.500 0.500 0.500 (multiplicity 1)
Se: 0.000 0.000 0.500 (multiplicity 1)
Se: 0.500 0.500 0.000 (multiplicity 1)

=====

Computed X-ray diffraction stick pattern of GaCuSe2 for Cu Kα X-rays, from a DFT-relaxed cell (PBE, the Materials Project).

Main lines, sorted by position (2θ = 10–80°):
two_theta, I (rel.)
29.11, 1
33.57, 51
33.81, 100
48.39, 71
48.57, 35
60.34, 36
70.55, 6
71.13, 11

Lattice parameters (Å, degrees): 5.302 5.302 10.679 90.00 90.00 90.00
Space group I4_1/amd (No. 141, origin choice 2)
Unique sites:
Ga: 0.000 0.250 0.375 (multiplicity 4)
Cu: 0.000 0.250 0.875 (multiplicity 4)
Se: 0.000 0.250 0.125 (multiplicity 8)

=====

Computed X-ray diffraction stick pattern of GaCuSe2 for Cu Kα X-rays, from a DFT-relaxed cell (PBE, the Materials Project).

Main lines, sorted by position (2θ = 10–80°):
two_theta, I (rel.)
27.32, 100
45.25, 25
45.43, 49
53.67, 29
53.97, 14
65.92, 8
66.46, 4
72.76, 6
73.01, 11

Lattice parameters (Å, degrees): 5.668 5.668 11.254 90.00 90.00 90.00
Space group I-42d (No. 122)
Unique sites:
Ga: 0.000 0.000 0.000 (multiplicity 4)
Cu: 0.000 0.000 0.500 (multiplicity 4)
Se: 0.244 0.250 0.625 (multiplicity 8)

=====

Computed X-ray diffraction stick pattern of Ga3Cu3SiSe8 for Cu Kα X-rays, from a DFT-relaxed cell (PBE, the Materials Project).

Main lines, sorted by position (2θ = 10–80°):
two_theta, I (rel.)
23.65, 4
27.71, 100
40.50, 3
45.16, 25
46.48, 44
47.93, 2
53.81, 30
56.13, 12
65.78, 8
69.87, 3
72.81, 6
74.78, 10

Lattice parameters (Å, degrees): 5.679 5.679 10.770 90.00 90.00 90.00
Space group P-4 (No. 81)
Unique sites:
Ga: 0.000 0.000 0.000 (multiplicity 1)
Ga: 0.000 0.500 0.259 (multiplicity 2)
Cu: 0.000 0.500 0.743 (multiplicity 2)
Cu: 0.500 0.500 0.000 (multiplicity 1)
Si: 0.500 0.500 0.500 (multiplicity 1)
Se: 0.249 0.746 0.871 (multiplicity 4)
Se: 0.250 0.255 0.611 (multiplicity 4)

=====

Computed X-ray diffraction stick pattern of SrGaCu3Se4 for Cu Kα X-rays, from a DFT-relaxed cell (PBE, the Materials Project).

Main lines, sorted by position (2θ = 10–80°):
two_theta, I (rel.)
14.57, 17
20.66, 14
25.37, 87
36.19, 11
42.03, 100
49.74, 36
54.41, 7
56.65, 7
60.95, 15
65.09, 6
67.11, 12
76.81, 27

Lattice parameters (Å, degrees): 6.080 6.080 6.080 90.00 90.00 90.00
Space group P-43m (No. 215)
Unique sites:
Sr: 0.000 0.000 0.000 (multiplicity 1)
Ga: 0.500 0.500 0.500 (multiplicity 1)
Cu: 0.000 0.500 0.500 (multiplicity 3)
Se: 0.273 0.273 0.727 (multiplicity 4)

=====

Computed X-ray diffraction stick pattern of GaCuTeSe for Cu Kα X-rays, from a DFT-relaxed cell (PBE, the Materials Project).

Main lines, sorted by position (2θ = 10–80°):
two_theta, I (rel.)
26.29, 100
43.44, 25
43.68, 48
51.49, 30
51.91, 14
63.03, 4
63.20, 4
63.86, 4
69.59, 6
69.94, 11
79.84, 8
79.96, 7

Lattice parameters (Å, degrees): 5.885 5.899 11.662 90.00 90.00 90.00
Space group I2_12_12_1 (No. 24)
Unique sites:
Ga: 0.000 0.250 0.116 (multiplicity 4)
Cu: 0.000 0.250 0.616 (multiplicity 4)
Te: 0.237 0.500 0.750 (multiplicity 4)
Se: 0.250 0.006 0.500 (multiplicity 4)

=====

Computed X-ray diffraction stick pattern of SmGa3Cu for Cu Kα X-rays, from a DFT-relaxed cell (PBE, the Materials Project).

Main lines, sorted by position (2θ = 10–80°):
two_theta, I (rel.)
30.42, 18
33.16, 65
33.60, 6
34.86, 100
43.57, 54
45.95, 9
47.92, 33
55.82, 29
60.89, 12
63.31, 17
66.75, 24
74.35, 21

Lattice parameters (Å, degrees): 4.155 4.155 10.670 90.00 90.00 90.00
Space group I-4m2 (No. 119)
Unique sites:
Sm: 0.000 0.000 0.000 (multiplicity 2)
Ga: 0.000 0.000 0.384 (multiplicity 4)
Ga: 0.000 0.500 0.250 (multiplicity 2)
Cu: 0.000 0.500 0.750 (multiplicity 2)

=====

Computed X-ray diffraction stick pattern of Tb2Ga5Cu3 for Cu Kα X-rays, from a DFT-relaxed cell (PBE, the Materials Project).

Main lines, sorted by position (2θ = 10–80°):
two_theta, I (rel.)
23.18, 7
30.56, 21
34.01, 71
35.32, 100
43.76, 57
47.12, 7
49.59, 29
56.56, 33
62.96, 13
63.61, 18
68.26, 22
74.91, 21

Lattice parameters (Å, degrees): 4.137 4.137 10.260 90.00 90.00 90.00
Space group P-4m2 (No. 115)
Unique sites:
Tb: 0.000 0.500 0.243 (multiplicity 2)
Ga: 0.000 0.000 0.500 (multiplicity 1)
Ga: 0.000 0.500 0.640 (multiplicity 2)
Ga: 0.000 0.500 0.878 (multiplicity 2)
Cu: 0.000 0.000 0.000 (multiplicity 1)
Cu: 0.500 0.500 0.000 (multiplicity 1)
Cu: 0.500 0.500 0.500 (multiplicity 1)

=====

Computed X-ray diffraction stick pattern of TiGaCu for Cu Kα X-rays, from a DFT-relaxed cell (PBE, the Materials Project).

Main lines, sorted by position (2θ = 10–80°):
two_theta, I (rel.)
24.04, 7
29.01, 2
32.33, 17
40.69, 86
42.28, 100
54.21, 23
55.63, 2
60.12, 25
67.67, 6
72.95, 2
76.23, 24
77.32, 15

Lattice parameters (Å, degrees): 4.2751 4.2751 5.5385 90.00 90.00 120.00
Space group P-3m1 (No. 164)
Unique sites:
Ti: 0.0000 0.0000 0.2370 (multiplicity 2)
Ga: 0.3333 0.6667 0.4780 (multiplicity 2)
Cu: 0.3333 0.6667 0.0018 (multiplicity 2)

=====

Computed X-ray diffraction stick pattern of Tm2GaCu for Cu Kα X-rays, from a DFT-relaxed cell (PBE, the Materials Project).

Main lines, sorted by position (2θ = 10–80°):
two_theta, I (rel.)
25.68, 20
36.63, 100
45.27, 6
52.78, 17
59.59, 8
65.96, 35
77.88, 11

Lattice parameters (Å, degrees): 6.938 6.938 6.938 90.00 90.00 90.00
Space group Fm-3m (No. 225)
Unique sites:
Tm: 0.250 0.250 0.250 (multiplicity 8)
Ga: 0.000 0.000 0.000 (multiplicity 4)
Cu: 0.000 0.000 0.500 (multiplicity 4)

=====

Computed X-ray diffraction stick pattern of U3Ga8Cu4 for Cu Kα X-rays, from a DFT-relaxed cell (PBE, the Materials Project).

Main lines, sorted by position (2θ = 10–80°):
two_theta, I (rel.)
16.82, 10
23.31, 26
30.90, 26
33.62, 75
35.38, 100
44.26, 48
48.58, 34
56.71, 34
61.78, 14
64.38, 16
67.81, 25
75.66, 22

Lattice parameters (Å, degrees): 4.093 4.093 31.620 90.00 90.00 90.00
Space group I-4m2 (No. 119)
Unique sites:
U: 0.000 0.000 0.000 (multiplicity 2)
U: 0.000 0.000 0.331 (multiplicity 4)
Ga: 0.000 0.000 0.130 (multiplicity 4)
Ga: 0.000 0.000 0.208 (multiplicity 4)
Ga: 0.000 0.000 0.462 (multiplicity 4)
Ga: 0.000 0.500 0.084 (multiplicity 4)
Cu: 0.000 0.500 0.250 (multiplicity 2)
Cu: 0.000 0.500 0.583 (multiplicity 4)
Cu: 0.000 0.500 0.750 (multiplicity 2)

=====

Computed X-ray diffraction stick pattern of U2Ga5Cu3 for Cu Kα X-rays, from a DFT-relaxed cell (PBE, the Materials Project).

Main lines, sorted by position (2θ = 10–80°):
two_theta, I (rel.)
23.25, 26
30.65, 23
34.09, 64
35.42, 100
43.90, 47
49.69, 30
56.72, 30
57.36, 10
63.10, 12
63.82, 15
68.44, 23
75.16, 23

Lattice parameters (Å, degrees): 4.125 4.125 10.243 90.00 90.00 90.00
Space group P4mm (No. 99)
Unique sites:
U: 0.000 0.000 0.000 (multiplicity 1)
U: 0.500 0.500 0.490 (multiplicity 1)
Ga: 0.000 0.000 0.593 (multiplicity 1)
Ga: 0.000 0.500 0.238 (multiplicity 2)
Ga: 0.000 0.500 0.750 (multiplicity 2)
Cu: 0.000 0.000 0.366 (multiplicity 1)
Cu: 0.500 0.500 0.105 (multiplicity 1)
Cu: 0.500 0.500 0.878 (multiplicity 1)

=====

Computed X-ray diffraction stick pattern of U2Ga3Cu for Cu Kα X-rays, from a DFT-relaxed cell (PBE, the Materials Project).

Main lines, sorted by position (2θ = 10–80°):
two_theta, I (rel.)
21.83, 17
21.95, 34
37.88, 100
38.36, 49
38.57, 24
54.93, 11
55.13, 23
68.98, 12
69.11, 12
69.31, 16
69.64, 9
76.69, 13

Lattice parameters (Å, degrees): 2.930 4.669 8.142 90.00 90.00 90.00
Space group Pmm2 (No. 25)
Unique sites:
U: 0.000 0.000 0.000 (multiplicity 1)
U: 0.000 0.500 0.497 (multiplicity 1)
Ga: 0.500 0.000 0.654 (multiplicity 1)
Ga: 0.500 0.500 0.172 (multiplicity 1)
Ga: 0.500 0.500 0.830 (multiplicity 1)
Cu: 0.500 0.000 0.329 (multiplicity 1)